This entry pairs a crystal structure of ZnFeMo12S16 with its calculated powder X-ray diffraction pattern. Radiation: Cu Kα. Structure: a structure optimized by DFT (GGA-PBE).
Intensities are scaled so that the largest is 100.

Main lines, by angle (2θ from 5° to 70°):
13.67 deg, I 100, hkl 0 1 2; 18.73 deg, I 16, hkl 1 1 0; 30.04 deg, I 30, hkl 3 -2 2; 33.53 deg, I 35, hkl 3 -1 4; 40.56 deg, I 43, hkl 4 -1 2; 43.31 deg, I 22, hkl 1 3 4; 44.34 deg, I 23, hkl 1 0 10; 45.14 deg, I 18, hkl 1 2 8; 46.22 deg, I 47, hkl 2 2 6; 51.56 deg, I 18, hkl 5 -2 4

Atomic structure:
```
data_ZnFeMo12S16
_cell_length_a 9.4731
_cell_length_b 9.4731
_cell_length_c 21.0924
_cell_angle_alpha 90.00
_cell_angle_beta 90.00
_cell_angle_gamma 120.00
_space_group_name_H-M_alt 'R -3'
_space_group_IT_number 148
_space_group_name_Hall '-R 3'
loop_
_atom_site_label
_atom_site_fract_x
_atom_site_fract_y
_atom_site_fract_z
Zn1 0.0000 0.0000 0.0000
Fe1 0.0000 0.0000 0.5000
Mo1 0.0178 0.8434 0.8043
Mo2 0.0184 0.8440 0.3039
S1 0.0000 0.0000 0.1074
S2 0.0000 0.0000 0.3932
S3 0.0146 0.6258 0.8724
S4 0.0172 0.6291 0.3730
```